[1]
The following is a theoretical powder X-ray diffraction pattern of Ba2InAgS4. It was derived from DFT lattice parameters and positions (PBE), using Cu Ka.
Peak positions follow from Bragg's law for the DFT cell and can differ from measured ones.

Structural model:
```
Ba2InAgS4
1.0
8.4733 0.0000 0.0000
0.0000 7.3911 0.0000
-4.2683 0.0000 14.1945
Ba In Ag S
8 4 4 16
Direct
0.0548 0.1562 0.3575 Ba
0.0548 0.3438 0.8575 Ba
0.4447 0.6576 0.1362 Ba
0.4447 0.8424 0.6362 Ba
0.5553 0.1576 0.3638 Ba
0.5553 0.3424 0.8638 Ba
0.9452 0.6562 0.1425 Ba
0.9452 0.8438 0.6425 Ba
0.1870 0.1809 0.1228 In
0.1870 0.3191 0.6228 In
0.8130 0.6809 0.3772 In
0.8130 0.8191 0.8772 In
0.3222 0.6338 0.3993 Ag
0.3222 0.8662 0.8993 Ag
0.6778 0.1338 0.1007 Ag
0.6778 0.3662 0.6007 Ag
0.1019 0.7429 0.9690 S
0.1019 0.7571 0.4690 S
0.2444 0.5747 0.7329 S
0.2444 0.9253 0.2329 S
0.2564 0.0764 0.7538 S
0.2564 0.4236 0.2538 S
0.3828 0.2490 0.5289 S
0.3828 0.2510 0.0289 S
0.6172 0.7490 0.9711 S
0.6172 0.7510 0.4711 S
0.7436 0.5764 0.7462 S
0.7436 0.9236 0.2462 S
0.7556 0.0747 0.7671 S
0.7556 0.4253 0.2671 S
0.8981 0.2429 0.5310 S
0.8981 0.2571 0.0310 S
```

Most intense lines, 5° ≤ 2θ ≤ 70°, sorted by position:
d (Å)  2θ (°)  Rel. int.  hkl
3.576  24.90  45  0 2 1
3.555  25.05  100  0 0 4
3.264  27.32  80  2 1 1
3.198  27.90  20  0 1 4
2.909  30.74  94  0 2 3
2.900  30.83  47  2 1 2
2.250  40.07  39  0 2 5
2.118  42.68  31  4 0 -2
2.041  44.39  31  2 3 -3
2.039  44.42  30  2 3 1
1.822  50.06  20  4 0 -6
1.583  58.29  19  2 3 5



[2]
The following is a theoretical powder X-ray diffraction pattern of KBaAg2Te4. It was derived from DFT lattice parameters and positions (PBE), using Cu Ka.
Peak positions follow from Bragg's law for the DFT cell and can differ from measured ones.

Structural model:
```
KBaAg2Te4
1.0
4.5914 0.0000 0.0000
0.0000 4.5914 0.0000
0.0000 0.0000 24.7541
K Ba Ag Te
2 2 4 8
Direct
0.0000 0.0000 0.0000 K
0.5000 0.5000 0.5000 K
0.0000 0.0000 0.2335 Ba
0.5000 0.5000 0.7335 Ba
0.0000 0.5000 0.3685 Ag
0.0000 0.5000 0.8685 Ag
0.5000 0.0000 0.3685 Ag
0.5000 0.0000 0.8685 Ag
0.0000 0.0000 0.4375 Te
0.0000 0.0000 0.7901 Te
0.0000 0.5000 0.1195 Te
0.0000 0.5000 0.6195 Te
0.5000 0.0000 0.1195 Te
0.5000 0.0000 0.6195 Te
0.5000 0.5000 0.2901 Te
0.5000 0.5000 0.9375 Te
```

Most intense lines, 5° ≤ 2θ ≤ 70°, sorted by position:
d (Å)  2θ (°)  Rel. int.  hkl
12.377  7.14  29  0 0 2
6.189  14.31  18  0 0 4
4.012  22.16  11  1 0 3
3.366  26.48  33  1 0 5
3.094  28.85  11  0 0 8
2.875  31.11  100  1 1 4
2.359  38.14  16  1 0 9
2.296  39.24  42  2 0 0
2.240  40.26  27  1 1 8
1.897  47.97  13  2 1 5
1.623  56.71  14  2 2 0
1.414  66.10  22  3 1 4



Question: Which formula does entry 1 have?
Answer: Ba2InAgS4